Sr3TaBe: simulated powder diffractogram (a wavelength of 1.5418 Å), based on DFT lattice parameters and positions (PBE).
Peak positions follow from Bragg's law for the DFT cell and can differ from measured ones.

Cell and atoms:
a = 5.778 Å, b = 5.778 Å, c = 5.778 Å
α = 90.00°, β = 90.00°, γ = 90.00°
Space group Pm-3m (No. 221)
Unique sites:
Sr  0.000  0.000  0.500 (multiplicity 3)
Ta  0.500  0.500  0.500 (multiplicity 1)
Be  0.000  0.000  0.000 (multiplicity 1)

Main lines, low angle first (2θ from 15° to 90°):
Position (°2θ), Rel. int., (hkl)
21.75, 120, 1 1 0
26.72, 1000, 1 1 1
30.95, 546, 2 0 0
44.34, 403, 2 2 0
52.53, 465, 3 1 1
55.05, 142, 2 2 2
71.12, 188, 3 3 1
73.26, 183, 4 2 0
81.63, 138, 4 2 2
87.77, 149, 5 1 1